# 1
This entry pairs a crystal structure of K2MnTe2 with its calculated powder XRD pattern. Radiation: Cu Kα. Structure: a crystal structure in the Materials Project, relaxed with GGA-PBE.
Peak positions follow from Bragg's law for the DFT cell and can differ from measured ones.

Structural model:
Unit cell a=7.500 b=14.307 c=7.006 alpha=90.00 beta=90.00 gamma=90.00
Space group Ibam (No. 72)
Unique sites:
K  0.177  0.143  0.000 [8 per cell]
Mn  0.000  0.500  0.250 [4 per cell]
Te  0.197  0.392  0.000 [8 per cell]

Peak list (6 most intense, 10° ≤ 2θ ≤ 90°, by intensity)
(hkl), 2theta, I_rel
1 2 1, 21.3, 100
0 4 2, 35.9, 69
1 1 0, 13.3, 58
2 0 2, 35.1, 53
0 0 2, 25.4, 51
2 1 1, 27.7, 47



# 2
This entry pairs a crystal structure of PrGa3Co10 with its calculated powder XRD pattern. Radiation: Cu Kα. Structure: a crystal structure in the Materials Project, relaxed with GGA-PBE.
Peak positions follow from Bragg's law for the DFT cell and can differ from measured ones.

Structural model:
Unit cell a=11.225 b=11.354 c=11.598 alpha=90.00 beta=90.00 gamma=90.00
Space group Fmm2 (No. 42)
Unique sites:
Pr  0.250  0.250  0.000 [8 per cell]
Ga  0.000  0.178  0.130 [8 per cell]
Ga  0.178  0.000  0.628 [8 per cell]
Ga  0.178  0.000  0.878 [8 per cell]
Co  0.000  0.000  0.253 [4 per cell]
Co  0.000  0.000  0.753 [4 per cell]
Co  0.000  0.119  0.572 [8 per cell]
Co  0.000  0.122  0.926 [8 per cell]
Co  0.000  0.176  0.370 [8 per cell]
Co  0.110  0.000  0.426 [8 per cell]
Co  0.114  0.000  0.077 [8 per cell]
Co  0.119  0.181  0.752 [16 per cell]
Co  0.181  0.119  0.255 [16 per cell]

Peak list (6 most intense, 10° ≤ 2θ ≤ 90°, by intensity)
(hkl), 2theta, I_rel
5 1 3, 47.5, 100
2 2 4, 38.4, 94
2 4 2, 38.8, 85
4 2 2, 39.0, 83
0 2 4, 34.8, 59
5 3 1, 47.7, 58



# 3
This entry pairs a crystal structure of Ho2OsAu with its calculated powder XRD pattern. Radiation: Cu Kα. Structure: a crystal structure in the Materials Project, relaxed with GGA-PBE.
Peak positions follow from Bragg's law for the DFT cell and can differ from measured ones.

Structural model:
Unit cell a=6.969 b=6.969 c=6.969 alpha=90.00 beta=90.00 gamma=90.00
Space group Fm-3m (No. 225)
Unique sites:
Ho  0.250  0.250  0.250 [8 per cell]
Os  0.000  0.000  0.000 [4 per cell]
Au  0.000  0.000  0.500 [4 per cell]

Peak list (6 most intense, 10° ≤ 2θ ≤ 90°, by intensity)
(hkl), 2theta, I_rel
2 2 0, 36.5, 100
4 2 2, 65.6, 37
4 0 0, 52.5, 18
6 2 0, 88.8, 17
4 4 0, 77.5, 11
2 0 0, 25.6, 1



# 4
This entry pairs a crystal structure of Er2Ga9Ir3 with its calculated powder XRD pattern. Radiation: Cu Kα. Structure: a crystal structure in the Materials Project, relaxed with GGA-PBE.
Peak positions follow from Bragg's law for the DFT cell and can differ from measured ones.

Structural model:
Unit cell a=13.132 b=7.577 c=9.481 alpha=90.00 beta=90.00 gamma=90.00
Space group Cmcm (No. 63)
Unique sites:
Er  0.165  0.168  0.250 [8 per cell]
Ga  0.000  0.126  0.750 [4 per cell]
Ga  0.000  0.333  0.064 [8 per cell]
Ga  0.104  0.442  0.750 [8 per cell]
Ga  0.167  0.166  0.580 [16 per cell]
Ir  0.000  0.000  0.000 [4 per cell]
Ir  0.172  0.500  0.000 [8 per cell]

Peak list (6 most intense, 10° ≤ 2θ ≤ 90°, by intensity)
(hkl), 2theta, I_rel
3 3 0, 41.3, 100
3 1 3, 37.0, 75
0 2 2, 30.2, 66
0 2 4, 45.1, 30
6 2 2, 52.0, 27
6 4 3, 72.4, 25



# 5
This entry pairs a crystal structure of Te4Mo3WSe2S2 with its calculated powder XRD pattern. Radiation: Cu Kα. Structure: a crystal structure in the Materials Project, relaxed with GGA-PBE.
Peak positions follow from Bragg's law for the DFT cell and can differ from measured ones.

Structural model:
Unit cell a=3.4007 b=3.4007 c=38.8400 alpha=90.00 beta=90.00 gamma=120.00
Space group P3m1 (No. 156)
Unique sites:
Te  0.0000  0.0000  0.0000 [1 per cell]
Te  0.0000  0.0000  0.0965 [1 per cell]
Te  0.6667  0.3333  0.8116 [1 per cell]
Te  0.6667  0.3333  0.9086 [1 per cell]
Mo  0.0000  0.0000  0.2360 [1 per cell]
Mo  0.6667  0.3333  0.0482 [1 per cell]
Mo  0.6667  0.3333  0.6724 [1 per cell]
W  0.0000  0.0000  0.8601 [1 per cell]
Se  0.6667  0.3333  0.1936 [1 per cell]
Se  0.6667  0.3333  0.2785 [1 per cell]
S  0.0000  0.0000  0.6338 [1 per cell]
S  0.0000  0.0000  0.7111 [1 per cell]

Peak list (6 most intense, 10° ≤ 2θ ≤ 90°, by intensity)
(hkl), 2theta, I_rel
1 0 8, 35.7, 100
0 0 5, 11.4, 100
0 1 13, 43.1, 59
1 0 0, 30.4, 59
1 1 0, 53.9, 44
1 0 9, 37.0, 32



# 6
This entry pairs a crystal structure of SiC with its calculated powder XRD pattern. Radiation: Cu Kα. Structure: a crystal structure in the Materials Project, relaxed with GGA-PBE.
Peak positions follow from Bragg's law for the DFT cell and can differ from measured ones.

Structural model:
Unit cell a=3.0957 b=3.0957 c=20.2483 alpha=90.00 beta=90.00 gamma=120.00
Space group P6_3mc (No. 186)
Unique sites:
Si  0.0000  0.0000  0.0000 [2 per cell]
Si  0.3333  0.6667  0.1250 [2 per cell]
Si  0.3333  0.6667  0.3750 [2 per cell]
Si  0.3333  0.6667  0.7500 [2 per cell]
C  0.0000  0.0000  0.0938 [2 per cell]
C  0.3333  0.6667  0.2186 [2 per cell]
C  0.3333  0.6667  0.4688 [2 per cell]
C  0.3333  0.6667  0.8440 [2 per cell]

Peak list (6 most intense, 10° ≤ 2θ ≤ 90°, by intensity)
(hkl), 2theta, I_rel
1 0 3, 36.0, 100
1 0 2, 34.6, 83
0 0 8, 35.5, 74
1 1 0, 59.7, 67
1 1 8, 71.4, 51
1 0 11, 61.1, 34